Entry 1:
For Fe3P4O16, a PBE+U-relaxed structure gives the computed powder XRD pattern in this record (Cu Kα (weighted mean of Kα1 and Kα2)).
No peak broadening, texture or thermal motion is included.

Principal peaks in the range 10 to 90 degrees two-theta, low angle first:
hkl, 2θ (°), Rel. int.
1 1 0, 16.77, 28
1 1 -1, 18.15, 32
1 2 0, 21.26, 28
1 2 -1, 22.38, 27
0 3 1, 24.79, 100
2 0 -1, 30.09, 45
0 3 2, 30.56, 46
1 1 -3, 32.61, 38

a = 6.012 Å, b = 11.810 Å, c = 8.887 Å
α = 90.00°, β = 100.40°, γ = 90.00°
Space group P2_1 (No. 4)
Symmetry-distinct sites (fractional):
Fe: 0.070 0.000 0.223 x2
Fe: 0.369 0.774 0.861 x2
Fe: 0.389 0.158 0.743 x2
P: 0.070 0.663 0.086 x2
P: 0.129 0.935 0.588 x2
P: 0.358 0.201 0.399 x2
P: 0.463 0.486 0.896 x2
O: 0.002 0.553 0.993 x2
O: 0.107 0.490 0.423 x2
O: 0.119 0.758 0.976 x2
O: 0.125 0.903 0.418 x2
O: 0.131 0.196 0.835 x2
O: 0.141 0.135 0.337 x2
O: 0.150 0.829 0.690 x2
O: 0.236 0.460 0.789 x2
O: 0.287 0.647 0.208 x2
O: 0.325 0.016 0.650 x2
O: 0.346 0.249 0.558 x2
O: 0.359 0.948 0.199 x2
O: 0.401 0.291 0.279 x2
O: 0.419 0.633 0.599 x2
O: 0.482 0.614 0.940 x2
O: 0.489 0.407 0.037 x2

Entry 2:
For FePO4, a PBE+U-relaxed structure gives the computed powder XRD pattern in this record (Cu Kα (weighted mean of Kα1 and Kα2)).
No peak broadening, texture or thermal motion is included.

Principal peaks in the range 10 to 90 degrees two-theta, low angle first:
hkl, 2θ (°), Rel. int.
1 0 0, 19.71, 21
0 1 2, 25.08, 100
1 0 4, 36.98, 11
2 0 0, 40.04, 11
1 1 4, 47.03, 13
2 1 2, 56.35, 11
1 2 4, 63.44, 7
2 0 6, 63.59, 8

a = 5.2002 Å, b = 5.2002 Å, c = 11.5487 Å
α = 90.00°, β = 90.00°, γ = 120.00°
Space group P3_121 (No. 152)
Symmetry-distinct sites (fractional):
Fe: 0.0000 0.4660 0.1667 x3
P: 0.0000 0.4660 0.6667 x3
O: 0.1158 0.6967 0.7659 x6
O: 0.1661 0.7495 0.2866 x6

Entry 3:
For FePO4, a PBE+U-relaxed structure gives the computed powder XRD pattern in this record (Cu Kα (weighted mean of Kα1 and Kα2)).
No peak broadening, texture or thermal motion is included.

Principal peaks in the range 10 to 90 degrees two-theta, low angle first:
hkl, 2θ (°), Rel. int.
0 1 1, 16.00, 89
1 0 0, 18.24, 100
1 1 0, 21.72, 92
1 1 -2, 23.52, 40
0 1 2, 24.85, 56
0 2 1, 25.97, 40
1 2 -2, 31.28, 51
2 1 -2, 34.32, 42

a = 5.605 Å, b = 7.567 Å, c = 9.375 Å
α = 90.00°, β = 119.81°, γ = 90.00°
Space group P2_1/c (No. 14)
Symmetry-distinct sites (fractional):
Fe: 0.171 0.191 0.060 x4
P: 0.184 0.545 0.270 x4
O: 0.017 0.143 0.387 x4
O: 0.051 0.527 0.384 x4
O: 0.241 0.142 0.733 x4
O: 0.452 0.650 0.367 x4

Entry 4:
For FePO4, a PBE+U-relaxed structure gives the computed powder XRD pattern in this record (Cu Kα (weighted mean of Kα1 and Kα2)).
No peak broadening, texture or thermal motion is included.

Principal peaks in the range 10 to 90 degrees two-theta, low angle first:
hkl, 2θ (°), Rel. int.
0 1 2, 21.05, 100
2 0 3, 25.31, 6
1 1 3, 26.68, 5
2 1 3, 30.60, 5
0 2 0, 34.24, 9
4 0 0, 34.42, 9
2 1 4, 34.92, 9
0 1 10, 67.89, 4

a = 10.423 Å, b = 5.238 Å, c = 14.315 Å
α = 90.00°, β = 90.00°, γ = 90.00°
Space group Pca2_1 (No. 29)
Symmetry-distinct sites (fractional):
Fe: 0.037 0.069 0.000 x4
Fe: 0.220 0.553 0.248 x4
P: 0.031 0.428 0.623 x4
P: 0.212 0.054 0.375 x4
O: 0.008 0.142 0.601 x4
O: 0.011 0.411 0.037 x4
O: 0.049 0.499 0.211 x4
O: 0.069 0.010 0.397 x4
O: 0.174 0.473 0.645 x4
O: 0.206 0.983 0.962 x4
O: 0.238 0.338 0.352 x4
O: 0.249 0.891 0.289 x4

Copy entry 3 word for word.
For FePO4, a PBE+U-relaxed structure gives the computed powder XRD pattern in this record (Cu Kα (weighted mean of Kα1 and Kα2)).
No peak broadening, texture or thermal motion is included.

Principal peaks in the range 10 to 90 degrees two-theta, low angle first:
hkl, 2θ (°), Rel. int.
0 1 1, 16.00, 89
1 0 0, 18.24, 100
1 1 0, 21.72, 92
1 1 -2, 23.52, 40
0 1 2, 24.85, 56
0 2 1, 25.97, 40
1 2 -2, 31.28, 51
2 1 -2, 34.32, 42

a = 5.605 Å, b = 7.567 Å, c = 9.375 Å
α = 90.00°, β = 119.81°, γ = 90.00°
Space group P2_1/c (No. 14)
Symmetry-distinct sites (fractional):
Fe: 0.171 0.191 0.060 x4
P: 0.184 0.545 0.270 x4
O: 0.017 0.143 0.387 x4
O: 0.051 0.527 0.384 x4
O: 0.241 0.142 0.733 x4
O: 0.452 0.650 0.367 x4

> Which formula does entry 1 have?

Fe3P4O16